This entry pairs a crystal structure of KNaCd2I6 with its calculated X-ray powder pattern. Radiation: Cu Kα. Structure: a cell relaxed with PBE.
Kinematic intensities with the Lorentz-polarization factor, no thermal factor.

Crystal structure
```
KNaCd2I6
1.0
8.1513 0.0000 0.0000
4.0754 7.0690 0.0000
4.0755 2.3509 6.8976
K Na Cd I
1 1 2 6
Cartesian
0.0000 0.0000 0.0000
8.1482 4.7101 3.1384
4.0762 2.3513 2.3985
12.2210 7.0640 5.7302
6.6451 7.4032 4.3061
5.8064 4.2492 0.9137
6.5657 2.0597 4.3016
8.9214 6.9719 0.9167
11.2313 4.6618 4.3055
9.7237 2.9086 0.9195
```

Principal peaks in the range 15 to 90 degrees two-theta, by angle:
15.2°, I = 52
25.4°, I = 100
25.8°, I = 15
30.6°, I = 37
33.9°, I = 14
34.0°, I = 46
38.2°, I = 31
45.3°, I = 21
46.6°, I = 13
47.2°, I = 14

This entry pairs a crystal structure of La3CdI3 with its calculated X-ray powder pattern. Radiation: Cu Kα. Structure: a cell relaxed with PBE.
Kinematic intensities with the Lorentz-polarization factor, no thermal factor.

Crystal structure
```
La3CdI3
1.0
6.4780 0.0000 0.0000
0.0000 6.4780 0.0000
0.0000 0.0000 6.4780
La Cd I
3 1 3
Cartesian
0.0000 0.0000 3.2390
0.0000 3.2390 0.0000
3.2390 0.0000 0.0000
0.0000 0.0000 0.0000
0.0000 3.2390 3.2390
3.2390 0.0000 3.2390
3.2390 3.2390 0.0000
```

Principal peaks in the range 15 to 90 degrees two-theta, by angle:
19.4°, I = 13
27.5°, I = 100
30.9°, I = 6
33.9°, I = 6
39.3°, I = 77
48.7°, I = 27
56.9°, I = 13
64.3°, I = 35
71.3°, I = 26
84.6°, I = 8

This entry pairs a crystal structure of LaCdI6 with its calculated X-ray powder pattern. Radiation: Cu Kα. Structure: a cell relaxed with PBE.
Kinematic intensities with the Lorentz-polarization factor, no thermal factor.

Crystal structure
```
LaCdI6
1.0
7.6765 0.0000 0.0000
-3.7436 6.8046 0.0000
-0.6720 -3.9855 6.9240
La Cd I
1 1 6
Cartesian
0.0000 0.0000 0.0000
3.5023 -1.9928 3.4620
-1.4578 2.5838 1.3858
0.9106 -2.0167 5.0937
2.5328 0.2277 1.9191
0.7281 2.5913 5.0049
2.3503 4.8358 1.8303
4.7188 0.2353 5.5382
```

Principal peaks in the range 15 to 90 degrees two-theta, by angle:
15.4°, I = 42
22.0°, I = 41
25.1°, I = 84
25.6°, I = 57
25.8°, I = 73
26.3°, I = 46
27.7°, I = 100
39.9°, I = 40
40.3°, I = 43
41.0°, I = 40